For SrV6O11, a DFT-relaxed cell (GGA+U, Alexandria) gives the theoretical PXRD pattern in this record (Cu Kα (weighted mean of Kα1 and Kα2)).
Peak positions follow from Bragg's law for the DFT cell and can differ from measured ones.

Structural model:
```
data_SrV6O11
_cell_length_a 5.9115
_cell_length_b 5.9115
_cell_length_c 13.4172
_cell_angle_alpha 90.00
_cell_angle_beta 90.00
_cell_angle_gamma 120.00
_space_group_name_H-M_alt 'P 63/m m c'
_space_group_IT_number 194
_space_group_name_Hall '-P 6c 2c'
loop_
_atom_site_label
_atom_site_fract_x
_atom_site_fract_y
_atom_site_fract_z
Sr1 0.3333 0.6667 0.2500
V1 0.0000 0.0000 0.1459
V2 0.0000 0.5000 0.0000
V3 0.3333 0.6667 0.7500
O1 0.1482 0.2964 0.7500
O2 0.1758 0.3516 0.0793
O3 0.3333 0.6667 0.5847
```

Peak list (10 most intense, 10° ≤ 2θ ≤ 80°, in order of rising 2θ)
d_spacing, Rel. int.
3.354, 28
2.956, 48
2.806, 95
2.705, 100
2.392, 57
2.222, 46
1.684, 73
1.676, 57
1.654, 21
1.478, 48